Theoretical powder X-ray diffraction pattern of KAlSiO4 for Cu Kα, 1.54184 Å, from a structure optimized by DFT (PBE).
Lines closer than 0.1° are merged.

Structural model:
Lattice parameters (Å, degrees): 5.1629 5.1629 5.1841 90.00 90.00 120.00
Fractional coordinates of all 7 atoms:
1 K 0.0000 0.0000 0.0000
2 Al 0.6667 0.3333 0.4652
3 Si 0.3333 0.6667 0.5841
4 O 0.0180 0.6318 0.4624
5 O 0.3333 0.6667 0.8910
6 O 0.3682 0.3863 0.4624
7 O 0.6137 0.9820 0.4624

Peak list (12 most intense, 10 to 90 degrees two-theta, sorted by position)
17.1 deg, I 23
19.9 deg, I 8
26.3 deg, I 100
34.6 deg, I 24
34.8 deg, I 41
39.0 deg, I 16
44.1 deg, I 13
49.9 deg, I 15
57.1 deg, I 11
57.3 deg, I 17
62.3 deg, I 14
73.3 deg, I 14